Record 1
The following is a calculated powder diffraction line list of LaNi5H6. It was derived from a PBE-relaxed structure, using a wavelength of 1.5418 Å.
Lines closer than 0.1° are merged.

Most intense lines, 2θ from 10° to 90°, by intensity:
Position (°2θ), I_rel, (hkl)
40.0, 1000, 1 1 1
29.1, 445, 1 0 1
44.6, 424, 0 0 2
38.4, 404, 2 0 0
33.1, 351, 1 1 0
63.8, 237, 3 0 1
56.6, 231, 1 1 2
69.5, 200, 2 2 0
48.8, 191, 1 0 2
86.4, 160, 2 2 2

Unit cell a=5.4109 b=5.4109 c=4.0692 alpha=90.00 beta=90.00 gamma=120.00
Space group P6mm (No. 183)
Inequivalent atoms, fractional coordinates:
La (0.0000, 0.0000, 0.0000) (multiplicity 1)
Ni (0.0000, 0.5000, 0.6254) (multiplicity 3)
Ni (0.3333, 0.6667, 0.1149) (multiplicity 2)
H (0.2045, 0.4091, 0.4116) (multiplicity 6)

---

Record 2
The following is a calculated powder diffraction line list of LaNi5H6. It was derived from a PBE-relaxed structure, using a wavelength of 1.5418 Å.
Lines closer than 0.1° are merged.

Most intense lines, 2θ from 10° to 90°, by intensity:
Position (°2θ), I_rel, (hkl)
40.2, 1000, 1 1 1
28.8, 571, 0 1 1
39.2, 412, 2 0 0
33.8, 357, 1 1 0
64.8, 242, 0 3 1
45.0, 235, 0 2 1
47.6, 220, 1 0 2
71.1, 192, 2 2 0
43.1, 191, 0 0 2
70.3, 187, 1 2 2

Unit cell a=5.3014 b=5.3014 c=4.2013 alpha=90.00 beta=90.00 gamma=120.00
Space group P3m1 (No. 156)
Inequivalent atoms, fractional coordinates:
La (0.0000, 0.0000, 0.0000) (multiplicity 1)
Ni (0.3333, 0.6667, 0.1533) (multiplicity 1)
Ni (0.5101, 0.0202, 0.6033) (multiplicity 3)
Ni (0.6667, 0.3333, 0.1201) (multiplicity 1)
H (0.0081, 0.5041, 0.9908) (multiplicity 3)
H (0.1770, 0.3540, 0.4654) (multiplicity 3)

---

Record 3
The following is a calculated powder diffraction line list of LaNiSnH. It was derived from a PBE-relaxed structure, using a wavelength of 1.5418 Å.
Lines closer than 0.1° are merged.

Most intense lines, 2θ from 10° to 90°, by intensity:
Position (°2θ), I_rel, (hkl)
33.3, 1000, 2 1 1
31.3, 690, 1 1 2
37.1, 500, 0 1 3
40.5, 371, 0 2 0
60.8, 326, 3 1 4
32.0, 294, 2 0 2
38.4, 294, 3 0 1
57.0, 255, 3 2 1
31.7, 163, 2 1 0
52.5, 145, 2 2 2

Unit cell a=7.3065 b=4.4540 c=8.6792 alpha=90.00 beta=90.00 gamma=90.00
Space group Pnma (No. 62)
Inequivalent atoms, fractional coordinates:
La (0.0120, 0.2500, 0.1888) (multiplicity 4)
Ni (0.2184, 0.7500, 0.4037) (multiplicity 4)
Sn (0.1554, 0.2500, 0.5661) (multiplicity 4)
H (0.0629, 0.2500, 0.9191) (multiplicity 4)

---

Record 4
The following is a calculated powder diffraction line list of LaH3O3. It was derived from a PBE-relaxed structure, using a wavelength of 1.5418 Å.
Lines closer than 0.1° are merged.

Most intense lines, 2θ from 10° to 90°, by intensity:
Position (°2θ), I_rel, (hkl)
16.3, 1000, 2 0 -2
15.2, 592, 0 1 1
30.6, 378, 2 1 1
26.7, 367, 0 1 3
32.2, 331, 2 1 -5
15.4, 308, 0 0 2
31.1, 306, 2 2 -2
22.0, 229, 2 1 -1
41.7, 208, 4 1 -1
22.7, 191, 2 1 -3

Unit cell a=10.8660 b=6.7743 c=15.3522 alpha=90.00 beta=131.28 gamma=90.00
Space group P2_1/c (No. 14)
Inequivalent atoms, fractional coordinates:
La (0.1651, 0.0284, 0.1665) (multiplicity 4)
La (0.3312, 0.5344, 0.3323) (multiplicity 4)
H (0.0071, 0.2222, 0.3008) (multiplicity 4)
H (0.2012, 0.6388, 0.5015) (multiplicity 4)
H (0.2018, 0.0753, 0.5955) (multiplicity 4)
H (0.2687, 0.1524, 0.3990) (multiplicity 4)
H (0.4199, 0.7132, 0.0324) (multiplicity 4)
H (0.4837, 0.1495, 0.6811) (multiplicity 4)
O (0.0928, 0.7301, 0.2101) (multiplicity 4)
O (0.1106, 0.6175, 0.5000) (multiplicity 4)
O (0.2087, 0.2182, 0.3244) (multiplicity 4)
O (0.2742, 0.1461, 0.6691) (multiplicity 4)
O (0.4090, 0.6455, 0.5164) (multiplicity 4)
O (0.4202, 0.6547, 0.8124) (multiplicity 4)

---

Record 5
The following is a calculated powder diffraction line list of LaH3O3. It was derived from a PBE-relaxed structure, using a wavelength of 1.5418 Å.
Lines closer than 0.1° are merged.

Most intense lines, 2θ from 10° to 90°, by intensity:
Position (°2θ), I_rel, (hkl)
27.9, 1000, 1 0 1
15.6, 941, 1 0 0
39.4, 734, 2 0 1
27.2, 662, 1 1 0
48.5, 639, 2 1 1
48.0, 255, 3 0 0
55.2, 200, 1 1 2
63.8, 196, 1 3 1
77.3, 182, 2 3 1
31.5, 174, 2 0 0

Unit cell a=6.5598 b=6.5598 c=3.8637 alpha=90.00 beta=90.00 gamma=120.00
Space group P6_3/m (No. 176)
Inequivalent atoms, fractional coordinates:
La (0.3333, 0.6667, 0.2500) (multiplicity 2)
H (0.1373, 0.2762, 0.7500) (multiplicity 6)
O (0.0826, 0.3902, 0.7500) (multiplicity 6)

---

Record 6
The following is a calculated powder diffraction line list of LaH3O3. It was derived from a PBE-relaxed structure, using a wavelength of 1.5418 Å.
Lines closer than 0.1° are merged.

Most intense lines, 2θ from 10° to 90°, by intensity:
Position (°2θ), I_rel, (hkl)
15.4, 1000, 1 0 0
27.9, 949, 0 1 1
15.2, 475, 0 0 1
28.0, 461, 1 1 -1
39.1, 378, 2 1 0
39.3, 363, 2 1 -2
48.1, 359, 2 1 -3
38.9, 350, 0 1 2
26.6, 342, 1 0 1
26.8, 341, 1 0 -2

Unit cell a=6.6168 b=3.8322 c=6.6647 alpha=90.00 beta=119.33 gamma=90.00
Space group P2_1/m (No. 11)
Inequivalent atoms, fractional coordinates:
La (0.1636, 0.2500, 0.3300) (multiplicity 2)
H (0.2161, 0.2500, 0.8561) (multiplicity 2)
H (0.3601, 0.7500, 0.6985) (multiplicity 2)
H (0.3645, 0.7500, 0.1486) (multiplicity 2)
O (0.1052, 0.2500, 0.9127) (multiplicity 2)
O (0.1933, 0.7500, 0.5985) (multiplicity 2)
O (0.4142, 0.7500, 0.3125) (multiplicity 2)

---

Record 7
The following is a calculated powder diffraction line list of LaH3O3. It was derived from a PBE-relaxed structure, using a wavelength of 1.5418 Å.
Lines closer than 0.1° are merged.

Most intense lines, 2θ from 10° to 90°, by intensity:
Position (°2θ), I_rel, (hkl)
15.4, 1000, 0 1 0
15.6, 498, 0 1 1
27.7, 495, 1 0 1
38.8, 404, 1 2 0
47.5, 369, 2 0 0
26.8, 357, 0 1 -1
27.0, 345, 0 1 2
27.2, 342, 0 2 1
47.7, 312, 0 3 0
28.4, 272, 1 -1 0

Unit cell a=3.8311 b=6.5709 c=6.6122 alpha=60.58 beta=87.82 gamma=87.61
Space group P1 (No. 1)
Inequivalent atoms, fractional coordinates:
La (0.0000, 0.0000, 0.0000) (multiplicity 1)
La (0.4902, 0.3303, 0.3376) (multiplicity 1)
H (0.0301, 0.9411, 0.5353) (multiplicity 1)
H (0.4031, 0.3831, 0.8034) (multiplicity 1)
H (0.5087, 0.8010, 0.8123) (multiplicity 1)
H (0.5154, 0.8083, 0.3728) (multiplicity 1)
H (0.9152, 0.5307, 0.5247) (multiplicity 1)
H (0.9167, 0.5144, 0.9614) (multiplicity 1)
O (0.0014, 0.0589, 0.5844) (multiplicity 1)
O (0.0118, 0.3562, 0.0583) (multiplicity 1)
O (0.4916, 0.9766, 0.2685) (multiplicity 1)
O (0.5074, 0.2819, 0.7456) (multiplicity 1)
O (0.5269, 0.7452, 0.9782) (multiplicity 1)
O (0.9846, 0.5842, 0.3621) (multiplicity 1)

---

Record 8
The following is a calculated powder diffraction line list of LaH3O3. It was derived from a PBE-relaxed structure, using a wavelength of 1.5418 Å.
Lines closer than 0.1° are merged.

Most intense lines, 2θ from 10° to 90°, by intensity:
Position (°2θ), I_rel, (hkl)
16.3, 1000, 1 0 0
32.4, 557, 1 3 1
15.1, 556, 0 1 1
27.0, 397, 0 3 1
15.7, 353, 0 2 0
21.3, 234, 1 1 -1
29.3, 226, 1 0 -2
22.7, 220, 1 2 0
44.2, 195, 2 3 1
23.3, 178, 1 1 1

Unit cell a=5.4759 b=11.3019 c=6.8833 alpha=90.00 beta=95.91 gamma=90.00
Space group P2_1/c (No. 14)
Inequivalent atoms, fractional coordinates:
La (0.0106, 0.1703, 0.4587) (multiplicity 4)
H (0.2384, 0.0254, 0.7924) (multiplicity 4)
H (0.3113, 0.6191, 0.7297) (multiplicity 4)
H (0.4130, 0.1946, 0.1848) (multiplicity 4)
O (0.2044, 0.0073, 0.6544) (multiplicity 4)
O (0.2278, 0.6928, 0.7549) (multiplicity 4)
O (0.2341, 0.1871, 0.1734) (multiplicity 4)

---

Record 9
The following is a calculated powder diffraction line list of LaH3O3. It was derived from a PBE-relaxed structure, using a wavelength of 1.5418 Å.
Lines closer than 0.1° are merged.

Most intense lines, 2θ from 10° to 90°, by intensity:
Position (°2θ), I_rel, (hkl)
15.4, 1000, 1 0 0
27.9, 949, 0 1 1
15.2, 467, 0 0 1
28.0, 464, 1 1 -1
39.1, 378, 2 1 0
39.3, 362, 2 1 -2
48.1, 359, 2 1 -3
38.9, 352, 0 1 2
26.6, 347, 1 0 1
26.8, 339, 1 0 -2

Unit cell a=6.6168 b=3.8322 c=6.6647 alpha=90.00 beta=119.33 gamma=90.00
Space group Pm (No. 6)
Inequivalent atoms, fractional coordinates:
La (0.0000, 0.0000, 0.0000) (multiplicity 1)
La (0.3272, 0.5000, 0.6600) (multiplicity 1)
H (0.3869, 0.5000, 0.1947) (multiplicity 1)
H (0.5237, 0.0000, 0.0286) (multiplicity 1)
H (0.5281, 0.0000, 0.4787) (multiplicity 1)
H (0.7999, 0.5000, 0.1869) (multiplicity 1)
H (0.8081, 0.5000, 0.6207) (multiplicity 1)
H (0.9475, 0.0000, 0.4739) (multiplicity 1)
O (0.0584, 0.0000, 0.4173) (multiplicity 1)
O (0.2702, 0.5000, 0.2438) (multiplicity 1)
O (0.3569, 0.0000, 0.9285) (multiplicity 1)
O (0.5778, 0.0000, 0.6425) (multiplicity 1)
O (0.7544, 0.5000, 0.0242) (multiplicity 1)
O (0.9740, 0.5000, 0.7299) (multiplicity 1)

---

Record 10
The following is a calculated powder diffraction line list of LaH3O3. It was derived from a PBE-relaxed structure, using a wavelength of 1.5418 Å.
Lines closer than 0.1° are merged.

Most intense lines, 2θ from 10° to 90°, by intensity:
Position (°2θ), I_rel, (hkl)
27.9, 1000, 1 0 1
15.7, 893, 1 0 0
39.5, 706, 2 0 1
27.3, 631, 1 1 0
48.7, 611, 2 1 1
48.3, 254, 3 0 0
55.1, 197, 1 1 2
64.1, 189, 1 3 1
77.7, 177, 2 3 1
31.7, 169, 2 0 0

Unit cell a=6.5260 b=6.5260 c=3.8733 alpha=90.00 beta=90.00 gamma=120.00
Space group P6_3 (No. 173)
Inequivalent atoms, fractional coordinates:
La (0.3333, 0.6667, 0.0000) (multiplicity 2)
H (0.1275, 0.2752, 0.5622) (multiplicity 6)
O (0.0779, 0.3851, 0.4778) (multiplicity 6)